The following is a simulated powder XRD pattern of ScGeSe3. It was derived from a structure optimized by DFT (PBE), using CuKα.

The 10 most intense peaks (2θ from 15° to 90°), sorted by position:
2theta	Rel. int.
17.68	25.7
27.66	21.4
30.11	100.0
31.76	28.6
35.13	42.2
37.70	34.8
41.67	26.4
46.87	46.3
48.01	21.0
49.27	23.1

Structure:
```
ScGeSe3
1.0
1.895 -10.033 0.000
1.895 10.033 0.000
0.000 0.000 6.811
Sc Ge Se
2 2 6
direct
0.172 0.828 0.500
0.828 0.172 0.000
0.350 0.650 0.496
0.650 0.350 0.996
0.090 0.910 0.174
0.251 0.749 0.824
0.404 0.596 0.164
0.596 0.404 0.664
0.749 0.251 0.324
0.910 0.090 0.674
```


The following is a simulated powder XRD pattern of Mg4InAu2. It was derived from a structure optimized by DFT (PBE), using CuKα.

The 10 most intense peaks (2θ from 15° to 90°), sorted by position:
2theta	Rel. int.
22.99	24.0
23.27	61.3
26.85	100.0
38.17	85.1
38.52	87.4
45.33	25.4
47.58	21.9
55.34	28.8
62.31	22.6
69.45	29.2

Structure:
```
Mg4InAu2
1.0
2.337 1.349 7.736
-2.337 1.349 7.736
0.000 -2.699 7.736
Mg In Au
4 1 2
direct
0.111 0.111 0.111
0.368 0.368 0.368
0.632 0.632 0.632
0.889 0.889 0.889
0.500 0.500 0.500
0.250 0.250 0.250
0.750 0.750 0.750
```


The following is a simulated powder XRD pattern of ErHfNb. It was derived from a structure optimized by DFT (PBE), using CuKα.

The 10 most intense peaks (2θ from 15° to 90°), sorted by position:
2theta	Rel. int.
20.51	10.9
35.61	100.0
35.92	95.5
51.48	35.2
59.62	7.4
64.37	36.0
64.57	17.3
71.60	25.5
76.16	10.7
87.01	16.2

Structure:
```
ErHfNb
1.0
5.000 0.000 0.000
-2.500 4.330 0.000
0.000 0.000 3.102
Er Hf Nb
1 1 1
direct
0.000 0.000 0.000
0.667 0.333 0.500
0.333 0.667 0.000
```


The following is a simulated powder XRD pattern of HgPb4Au5. It was derived from a structure optimized by DFT (PBE), using CuKα.

The 10 most intense peaks (2θ from 15° to 90°), sorted by position:
2theta	Rel. int.
29.46	25.2
31.29	100.0
32.69	25.5
35.66	20.2
38.87	14.5
41.03	31.7
43.51	54.8
44.84	30.2
54.57	12.8
70.28	20.0

Structure:
```
HgPb4Au5
1.0
-4.520 4.520 3.032
4.520 -4.520 3.032
4.520 4.520 -3.032
Hg Pb Au
1 4 5
direct
0.000 0.000 0.000
0.180 0.945 0.616
0.329 0.565 0.384
0.565 0.180 0.235
0.945 0.329 0.765
0.002 0.650 0.164
0.484 0.484 0.000
0.486 0.838 0.836
0.650 0.486 0.648
0.838 0.002 0.352
```


The following is a simulated powder XRD pattern of BeZnCdCuIr. It was derived from a structure optimized by DFT (PBE), using CuKα.

The 10 most intense peaks (2θ from 15° to 90°), sorted by position:
2theta	Rel. int.
22.37	18.6
30.42	50.2
34.44	29.0
41.46	100.0
42.78	55.3
45.65	10.0
62.09	17.8
64.34	13.8
77.44	30.6
85.85	10.1

Structure:
```
BeZnCdCuIr
1.0
2.990 0.000 0.000
0.000 2.990 0.000
0.000 0.000 15.899
Be Zn Cd Cu Ir
2 2 2 2 2
direct
0.000 0.000 0.000
0.500 0.500 0.500
0.000 0.000 0.603
0.500 0.500 0.103
0.000 0.000 0.227
0.500 0.500 0.727
0.000 0.000 0.839
0.500 0.500 0.339
0.000 0.000 0.442
0.500 0.500 0.942
```


The following is a simulated powder XRD pattern of Sm4OsO10. It was derived from a structure optimized by DFT (PBE), using CuKα.

The 10 most intense peaks (2θ from 15° to 90°), sorted by position:
2theta	Rel. int.
28.53	100.0
32.68	11.1
33.25	21.1
47.31	34.7
47.73	16.7
55.80	15.4
56.55	29.3
59.05	9.4
76.43	12.3
88.67	10.4

Structure:
```
Sm4OsO10
1.0
-4.261 4.261 2.740
4.261 -4.261 2.740
4.261 4.261 -2.740
Sm Os O
4 1 10
direct
0.098 0.304 0.402
0.304 0.902 0.206
0.696 0.098 0.794
0.902 0.696 0.598
0.500 0.500 0.000
0.103 0.186 0.730
0.186 0.456 0.082
0.250 0.750 0.500
0.373 0.103 0.918
0.456 0.373 0.270
0.544 0.627 0.730
0.627 0.897 0.082
0.750 0.250 0.500
0.814 0.544 0.918
0.897 0.814 0.270
```


The following is a simulated powder XRD pattern of Ag4SeO. It was derived from a structure optimized by DFT (PBE), using CuKα.

The 10 most intense peaks (2θ from 15° to 90°), sorted by position:
2theta	Rel. int.
30.21	44.0
31.50	42.4
33.28	22.3
34.60	100.0
36.32	37.2
38.80	36.7
42.91	35.7
43.08	22.8
44.36	26.0
45.50	28.1

Structure:
```
Ag4SeO
1.0
6.711 0.000 0.000
0.000 6.268 0.000
0.000 0.000 5.384
Ag Se O
8 2 2
direct
0.000 0.067 0.000
0.000 0.702 0.331
0.217 0.665 0.831
0.283 0.335 0.331
0.500 0.298 0.831
0.500 0.933 0.500
0.717 0.335 0.331
0.783 0.665 0.831
0.000 0.071 0.513
0.500 0.929 0.013
0.000 0.446 0.052
0.500 0.554 0.552
```


The following is a simulated powder XRD pattern of SmEr6In6. It was derived from a structure optimized by DFT (PBE), using CuKα.

The 10 most intense peaks (2θ from 15° to 90°), sorted by position:
2theta	Rel. int.
28.71	50.9
30.06	27.2
33.31	100.0
33.52	23.0
37.39	63.9
37.56	24.2
53.87	17.6
59.45	26.8
59.81	28.9
70.00	15.9

Structure:
```
SmEr6In6
1.0
6.219 0.000 0.000
-3.110 5.386 0.000
0.000 0.000 10.694
Sm Er In
1 6 6
direct
0.000 0.000 0.000
0.000 0.000 0.341
0.000 0.000 0.659
0.333 0.667 0.000
0.333 0.667 0.500
0.667 0.333 0.000
0.667 0.333 0.500
0.000 0.500 0.245
0.000 0.500 0.755
0.500 0.000 0.245
0.500 0.000 0.755
0.500 0.500 0.245
0.500 0.500 0.755
```


The following is a simulated powder XRD pattern of Rb3NdN6. It was derived from a structure optimized by DFT (PBE), using CuKα.

The 10 most intense peaks (2θ from 15° to 90°), sorted by position:
2theta	Rel. int.
15.23	68.7
21.39	28.1
24.14	81.8
26.02	100.0
26.19	24.2
33.93	16.7
35.79	52.2
44.78	27.6
45.89	23.6
53.51	15.9

Structure:
```
Rb3NdN6
1.0
5.932 3.425 4.704
-5.932 3.425 4.704
0.000 -6.850 4.704
Rb Nd N
6 2 12
direct
0.000 0.309 0.691
0.146 0.854 0.500
0.309 0.691 0.000
0.500 0.146 0.854
0.691 0.000 0.309
0.854 0.500 0.146
0.278 0.278 0.278
0.722 0.722 0.722
0.011 0.183 0.327
0.183 0.327 0.011
0.195 0.549 0.308
0.308 0.195 0.549
0.327 0.011 0.183
0.451 0.805 0.692
0.549 0.308 0.195
0.673 0.817 0.989
0.692 0.451 0.805
0.805 0.692 0.451
0.817 0.989 0.673
0.989 0.673 0.817
```


The following is a simulated powder XRD pattern of Pr8DyTm5. It was derived from a structure optimized by DFT (PBE), using CuKα.

The 10 most intense peaks (2θ from 15° to 90°), sorted by position:
2theta	Rel. int.
23.10	15.5
25.71	26.5
29.66	46.5
30.89	39.4
31.51	100.0
31.87	32.0
32.06	18.6
32.39	60.9
34.34	41.5
49.99	27.5

Structure:
```
Pr8DyTm5
1.0
8.605 0.000 0.000
-1.281 8.514 0.000
-3.780 -4.151 6.583
Pr Dy Tm
8 1 5
direct
0.000 0.000 0.000
0.002 0.684 0.569
0.128 0.338 0.523
0.267 0.736 0.059
0.396 0.498 0.336
0.451 0.129 0.580
0.565 0.561 0.011
0.614 0.189 0.245
0.002 0.845 0.290
0.227 0.158 0.829
0.510 0.848 0.791
0.746 0.954 0.533
0.781 0.528 0.753
0.873 0.343 0.049
```


The following is a simulated powder XRD pattern of Na2DyBr5. It was derived from a structure optimized by DFT (PBE), using CuKα.

The 10 most intense peaks (2θ from 15° to 90°), sorted by position:
2theta	Rel. int.
20.32	90.1
26.95	79.5
29.88	82.7
30.55	85.9
32.91	100.0
34.72	85.1
36.89	96.0
41.37	61.9
42.29	56.0
47.55	55.9

Structure:
```
Na2DyBr5
1.0
12.825 0.000 0.000
0.000 8.731 0.000
0.000 0.000 8.289
Na Dy Br
8 4 20
direct
0.177 0.008 0.025
0.177 0.492 0.025
0.323 0.508 0.525
0.323 0.992 0.525
0.677 0.008 0.475
0.677 0.492 0.475
0.823 0.508 0.975
0.823 0.992 0.975
0.008 0.750 0.582
0.492 0.250 0.082
0.508 0.750 0.918
0.992 0.250 0.418
0.015 0.750 0.937
0.085 0.046 0.662
0.085 0.454 0.662
0.182 0.750 0.366
0.205 0.250 0.317
0.295 0.750 0.817
0.318 0.250 0.866
0.415 0.546 0.162
0.415 0.954 0.162
0.485 0.250 0.437
0.515 0.750 0.563
0.585 0.046 0.838
0.585 0.454 0.838
0.682 0.750 0.134
0.705 0.250 0.183
0.795 0.750 0.683
0.818 0.250 0.634
0.915 0.546 0.338
0.915 0.954 0.338
0.985 0.250 0.063
```


The following is a simulated powder XRD pattern of Sr2HoAgAu6. It was derived from a structure optimized by DFT (PBE), using CuKα.

The 10 most intense peaks (2θ from 15° to 90°), sorted by position:
2theta	Rel. int.
16.62	49.2
28.99	85.7
33.60	100.0
37.71	26.6
48.26	72.8
51.39	13.8
57.29	39.0
60.09	25.2
78.10	16.2
80.54	33.2

Structure:
```
Sr2HoAgAu6
1.0
0.000 5.334 5.334
5.334 0.000 5.334
5.334 5.334 0.000
Sr Ho Ag Au
2 1 1 6
direct
0.250 0.250 0.250
0.750 0.750 0.750
0.000 0.000 0.000
0.500 0.500 0.500
0.255 0.255 0.745
0.255 0.745 0.255
0.255 0.745 0.745
0.745 0.255 0.255
0.745 0.255 0.745
0.745 0.745 0.255
```


The following is a simulated powder XRD pattern of Tb2Pm3Sm3. It was derived from a structure optimized by DFT (PBE), using CuKα.

The 10 most intense peaks (2θ from 15° to 90°), sorted by position:
2theta	Rel. int.
28.11	23.6
30.70	25.0
32.11	100.0
42.11	15.9
49.76	19.6
55.48	21.3
59.61	22.8
60.46	16.4
82.00	13.8
89.64	5.8

Structure:
```
Tb2Pm3Sm3
1.0
5.825 0.000 0.000
0.000 14.658 0.000
-0.009 0.000 6.349
Tb Pm Sm
4 6 6
direct
0.250 0.125 0.165
0.250 0.375 0.165
0.750 0.625 0.835
0.750 0.875 0.835
0.250 0.250 0.664
0.250 0.625 0.167
0.250 0.875 0.167
0.750 0.125 0.833
0.750 0.375 0.833
0.750 0.750 0.336
0.250 0.000 0.666
0.250 0.500 0.666
0.250 0.750 0.670
0.750 0.000 0.334
0.750 0.250 0.330
0.750 0.500 0.334
```